# 1
Ba4Gd2Cd3S10: theoretical XRD peak list (Cu Kα, 1.54184 Å), based on the PBE geometry in the Materials Project.
Kinematic intensities with the Lorentz-polarization factor, no thermal factor.

Most intense lines, 2θ = 5–70°, by intensity:
2θ (°), d/Å, I/Imax
29.46, 3.032, 100.0
30.20, 2.960, 61.4
25.77, 3.457, 42.6
25.05, 3.555, 38.8
42.99, 2.104, 35.1
25.98, 3.429, 32.0
27.30, 3.266, 27.3
25.59, 3.481, 27.2
43.03, 2.102, 26.2
35.20, 2.549, 24.4

Structure:
```
data_Ba4Gd2Cd3S10
_chemical_formula_sum 'Ba16 Gd8 Cd12 S40'
_cell_length_a 4.207
_cell_length_b 18.200
_cell_length_c 27.030
_cell_angle_alpha 90.00
_cell_angle_beta 90.00
_cell_angle_gamma 90.00
_space_group_name_H-M_alt 'C m c 21'
_space_group_IT_number 36
_space_group_name_Hall 'C 2c -2'
loop_
_atom_site_label
_atom_site_fract_x
_atom_site_fract_y
_atom_site_fract_z
Ba1 0.000 0.076 0.000
Ba2 0.000 0.097 0.818
Ba3 0.000 0.338 0.046
Ba4 0.000 0.340 0.766
Gd1 0.000 0.004 0.657
Gd2 0.000 0.421 0.903
Cd1 0.000 0.281 0.425
Cd2 0.000 0.339 0.195
Cd3 0.000 0.344 0.613
S1 0.000 0.076 0.336
S2 0.000 0.090 0.472
S3 0.000 0.151 0.167
S4 0.000 0.156 0.638
S5 0.000 0.268 0.889
S6 0.000 0.287 0.279
S7 0.000 0.292 0.525
S8 0.000 0.426 0.410
S9 0.000 0.483 0.223
S10 0.000 0.488 0.586
```

=====

# 2
SrMn2Ge2: theoretical XRD peak list (Cu Kα, 1.54184 Å), based on the PBE geometry in the Materials Project.
Kinematic intensities with the Lorentz-polarization factor, no thermal factor.

Most intense lines, 2θ = 5–70°, by intensity:
2θ (°), d/Å, I/Imax
31.99, 2.798, 100.0
44.40, 2.040, 80.4
34.76, 2.581, 60.8
55.75, 1.649, 40.2
57.63, 1.599, 24.3
45.16, 2.008, 22.3
30.99, 2.886, 21.2
64.58, 1.443, 17.1
65.18, 1.431, 14.7
64.68, 1.441, 7.8

Structure:
```
data_SrMn2Ge2
_chemical_formula_sum 'Sr2 Mn4 Ge4'
_cell_length_a 4.082
_cell_length_b 4.082
_cell_length_c 11.529
_cell_angle_alpha 90.00
_cell_angle_beta 90.00
_cell_angle_gamma 90.00
_space_group_name_H-M_alt 'I 4/m m m'
_space_group_IT_number 139
_space_group_name_Hall '-I 4 2'
loop_
_atom_site_label
_atom_site_fract_x
_atom_site_fract_y
_atom_site_fract_z
Sr1 0.000 0.000 0.000
Mn1 0.000 0.500 0.250
Ge1 0.000 0.000 0.366
```

=====

# 3
ZnPb3: theoretical XRD peak list (Cu Kα, 1.54184 Å), based on the PBE geometry in the Materials Project.
Kinematic intensities with the Lorentz-polarization factor, no thermal factor.

Most intense lines, 2θ = 5–70°, by intensity:
2θ (°), d/Å, I/Imax
32.79, 2.732, 100.0
58.53, 1.577, 39.2
47.05, 1.932, 18.6
68.73, 1.366, 12.2
19.90, 4.461, 8.2
38.65, 2.330, 4.9
23.02, 3.863, 4.4
51.56, 1.772, 2.2
53.00, 1.728, 2.1
62.46, 1.487, 1.7

Structure:
```
data_ZnPb3
_chemical_formula_sum 'Zn4 Pb12'
_cell_length_a 7.726
_cell_length_b 7.726
_cell_length_c 7.726
_cell_angle_alpha 90.00
_cell_angle_beta 90.00
_cell_angle_gamma 90.00
_space_group_name_H-M_alt 'F m -3 m'
_space_group_IT_number 225
_space_group_name_Hall '-F 4 2 3'
loop_
_atom_site_label
_atom_site_fract_x
_atom_site_fract_y
_atom_site_fract_z
Zn1 0.000 0.000 0.000
Pb1 0.000 0.000 0.500
Pb2 0.250 0.250 0.250
```